1.
For KThP3O10, a PBE-relaxed structure gives the computed XRD peak list in this record (λ = 1.5418 Å (Cu Kα)).

The 12 most intense peaks (2θ = 15–90°), low angle first:
16.21 deg, I = 92, (1 1 1)
17.49 deg, I = 29, (0 2 0)
19.24 deg, I = 57, (0 1 2)
22.25 deg, I = 22, (1 2 1)
23.01 deg, I = 33, (2 0 1)
24.62 deg, I = 32, (0 2 2)
26.83 deg, I = 100, (1 2 2)
27.97 deg, I = 37, (1 0 3)
29.05 deg, I = 62, (2 2 1)
33.44 deg, I = 28, (3 1 0)
42.65 deg, I = 25, (2 4 1)
43.30 deg, I = 22, (2 3 3)

Cell and atoms:
```
data_KThP3O10
_symmetry_space_group_name_H-M 'P 21 21 21'
_symmetry_Int_Tables_number 19
_cell_length_a 8.331
_cell_length_b 10.141
_cell_length_c 10.359
_cell_angle_alpha 90.00
_cell_angle_beta 90.00
_cell_angle_gamma 90.00
loop_
_symmetry_equiv_pos_as_xyz
'x,y,z'
'-x+1/2,-y,z+1/2'
'x+1/2,-y+1/2,-z'
'-x,y+1/2,-z+1/2'
loop_
_atom_site_label
_atom_site_fract_x
_atom_site_fract_y
_atom_site_fract_z
_atom_site_occupancy
K1 0.154 0.013 0.074 1
Th1 0.111 0.497 0.098 1
P1 0.025 0.621 0.761 1
P2 0.199 0.270 0.375 1
P3 0.228 0.748 0.364 1
O1 0.009 0.534 0.879 1
O2 0.095 0.557 0.642 1
O3 0.102 0.369 0.295 1
O4 0.122 0.863 0.405 1
O5 0.129 0.132 0.378 1
O6 0.130 0.750 0.797 1
O7 0.147 0.181 0.762 1
O8 0.147 0.641 0.284 1
O9 0.175 0.303 0.979 1
O10 0.244 0.323 0.508 1
```

***

2.
For KTh2P3O12, a PBE-relaxed structure gives the computed XRD peak list in this record (λ = 1.5418 Å (Cu Kα)).

The 12 most intense peaks (2θ = 15–90°), low angle first:
16.98 deg, I = 42, (1 1 -1)
18.31 deg, I = 41, (1 1 1)
19.96 deg, I = 67, (3 1 0)
25.19 deg, I = 32, (1 1 -2)
26.24 deg, I = 39, (2 0 2)
26.83 deg, I = 67, (4 0 -2)
27.41 deg, I = 39, (3 1 -2)
29.13 deg, I = 100, (2 2 -1)
30.76 deg, I = 56, (6 0 0)
32.28 deg, I = 46, (3 1 2)
41.40 deg, I = 29, (1 3 1)
48.68 deg, I = 34, (8 2 -1)

Cell and atoms:
```
data_KTh2P3O12
_symmetry_space_group_name_H-M 'C 1 2/c 1'
_symmetry_Int_Tables_number 15
_cell_length_a 17.828
_cell_length_b 6.909
_cell_length_c 8.234
_cell_angle_alpha 90.00
_cell_angle_beta 102.01
_cell_angle_gamma 90.00
loop_
_symmetry_equiv_pos_as_xyz
'x,y,z'
'-x,-y,-z'
'-x,y,-z+1/2'
'x,-y,z+1/2'
'x+1/2,y+1/2,z'
'-x+1/2,-y+1/2,-z'
'-x+1/2,y+1/2,-z+1/2'
'x+1/2,-y+1/2,z+1/2'
loop_
_atom_site_label
_atom_site_fract_x
_atom_site_fract_y
_atom_site_fract_z
_atom_site_occupancy
K1 0.000 0.098 0.250 1
Th1 0.154 0.406 0.035 1
P1 0.000 0.403 0.750 1
P2 0.191 0.090 0.685 1
O1 0.026 0.280 0.909 1
O2 0.072 0.468 0.246 1
O3 0.142 0.094 0.155 1
O4 0.154 0.257 0.574 1
O5 0.203 0.151 0.873 1
O6 0.225 0.450 0.330 1
```